Calculated X-ray diffraction stick pattern of Ba2AlBiO6 for Cu Kα, 1.54184 Å, from a crystal structure in Alexandria, relaxed with PBE.
Peak positions follow from Bragg's law for the DFT cell and can differ from measured ones.

Main lines, by angle (10° ≤ 2θ ≤ 90°):
Position (°2θ)	I/Imax
17.6	23.1
21.1	21.5
27.5	71.2
30.2	100.0
35.2	15.8
35.4	19.2
41.3	51.5
52.0	23.1
53.6	20.2
62.8	21.6

Atomic structure:
```
Ba2AlBiO6
1.0
2.9593 1.7085 9.7891
-2.9593 1.7085 9.7891
0.0000 -3.4171 9.7891
Ba Al Bi O
4 2 2 12
Direct
0.1312 0.1312 0.1312
0.2838 0.2838 0.2838
0.7162 0.7162 0.7162
0.8688 0.8688 0.8688
0.0000 0.0000 0.0000
0.5000 0.5000 0.5000
0.4075 0.4075 0.4075
0.5925 0.5925 0.5925
0.1566 0.6104 0.6104
0.1938 0.1938 0.7284
0.1938 0.7284 0.1938
0.2716 0.8062 0.8062
0.3896 0.3896 0.8434
0.3896 0.8434 0.3896
0.6104 0.1566 0.6104
0.6104 0.6104 0.1566
0.7284 0.1938 0.1938
0.8062 0.2716 0.8062
0.8062 0.8062 0.2716
0.8434 0.3896 0.3896
```

---

Calculated X-ray diffraction stick pattern of Y3Te2Pt for Cu Kα, 1.54184 Å, from a crystal structure in Alexandria, relaxed with PBE.
Peak positions follow from Bragg's law for the DFT cell and can differ from measured ones.

Main lines, by angle (10° ≤ 2θ ≤ 90°):
Position (°2θ)	I/Imax
12.9	8.2
29.3	100.0
41.2	12.2
41.9	48.0
42.7	11.3
51.3	12.4
52.6	12.6
60.8	6.9
68.8	19.5
75.5	6.7

Atomic structure:
```
Y3Te2Pt
1.0
0.0000 6.1045 12.7100
4.3852 0.0000 12.7100
4.3852 6.1045 0.0000
Y Te Pt
12 8 4
Direct
0.0363 0.5343 0.1840
0.0929 0.6571 0.6571
0.1840 0.7455 0.0363
0.2545 0.8160 0.4657
0.3429 0.9071 0.9071
0.4657 0.9637 0.2545
0.5343 0.0363 0.7455
0.6571 0.0929 0.0929
0.7455 0.1840 0.5343
0.8160 0.2545 0.9637
0.9071 0.3429 0.3429
0.9637 0.4657 0.8160
0.1298 0.1298 0.6202
0.2960 0.2960 0.4540
0.3798 0.3798 0.8702
0.4540 0.4540 0.2960
0.5460 0.5460 0.7040
0.6202 0.6202 0.1298
0.7040 0.7040 0.5460
0.8702 0.8702 0.3798
0.0414 0.0414 0.2086
0.2086 0.2086 0.0414
0.7914 0.7914 0.9586
0.9586 0.9586 0.7914
```

---

Calculated X-ray diffraction stick pattern of Li2PuSbO6 for Cu Kα, 1.54184 Å, from a crystal structure in Alexandria, relaxed with PBE.
Peak positions follow from Bragg's law for the DFT cell and can differ from measured ones.

Main lines, by angle (10° ≤ 2θ ≤ 90°):
Position (°2θ)	I/Imax
21.4	100.0
21.9	51.0
30.5	31.6
30.8	56.1
37.8	22.7
43.7	22.9
49.1	21.8
49.4	23.0
50.0	22.5
54.4	24.1

Atomic structure:
```
Li2PuSbO6
1.0
5.8648 0.0000 0.0000
0.0000 5.8648 0.0000
0.0000 0.0000 4.0591
Li Pu Sb O
2 1 1 6
Direct
0.0000 0.5000 0.0000
0.5000 0.0000 0.0000
0.0000 0.0000 0.8169
0.5000 0.5000 0.8236
0.0000 0.0000 0.3221
0.2582 0.2582 0.8596
0.2582 0.7418 0.8596
0.5000 0.5000 0.3348
0.7418 0.2582 0.8596
0.7418 0.7418 0.8596
```

---

Calculated X-ray diffraction stick pattern of Tb2ScAg2 for Cu Kα, 1.54184 Å, from a crystal structure in Alexandria, relaxed with PBE.
Peak positions follow from Bragg's law for the DFT cell and can differ from measured ones.

Main lines, by angle (10° ≤ 2θ ≤ 90°):
Position (°2θ)	I/Imax
26.3	26.4
32.2	64.4
32.5	100.0
36.1	52.8
36.6	39.5
38.0	21.7
46.0	24.3
46.5	21.5
57.7	24.1
60.7	32.4

Atomic structure:
```
Tb2ScAg2
1.0
3.9052 0.0000 0.0000
0.0000 6.8629 0.0000
0.0000 0.0000 9.4668
Tb Sc Ag
4 2 4
Direct
0.0000 0.0000 0.2100
0.0000 0.0000 0.7900
0.5000 0.5000 0.2900
0.5000 0.5000 0.7100
0.0000 0.5000 0.0000
0.5000 0.0000 0.5000
0.0000 0.2916 0.5000
0.0000 0.7084 0.5000
0.5000 0.2084 0.0000
0.5000 0.7916 0.0000
```

---

Calculated X-ray diffraction stick pattern of Ba5Na2SrIr for Cu Kα, 1.54184 Å, from a crystal structure in Alexandria, relaxed with PBE.
Peak positions follow from Bragg's law for the DFT cell and can differ from measured ones.

Main lines, by angle (10° ≤ 2θ ≤ 90°):
Position (°2θ)	I/Imax
12.4	67.8
14.2	63.9
14.4	47.5
24.8	100.0
28.6	91.4
29.1	44.0
32.1	45.1
40.9	34.2
41.2	67.1
51.0	35.7

Atomic structure:
```
Ba5Na2SrIr
1.0
-4.4109 4.4109 6.1459
4.4109 -4.4109 6.1459
4.4109 4.4109 -6.1459
Ba Na Sr Ir
5 2 1 1
Direct
0.0000 0.0000 0.0000
0.5110 0.5110 0.5148
0.5110 0.9963 0.0000
0.9963 0.5110 0.0000
0.9963 0.9963 0.4852
0.0045 0.5045 0.5000
0.5045 0.0045 0.5000
0.5135 0.5135 0.0000
0.7558 0.7558 0.0000
```

---

Calculated X-ray diffraction stick pattern of Bi4Ir for Cu Kα, 1.54184 Å, from a crystal structure in Alexandria, relaxed with PBE.
Peak positions follow from Bragg's law for the DFT cell and can differ from measured ones.

Main lines, by angle (10° ≤ 2θ ≤ 90°):
Position (°2θ)	I/Imax
26.8	21.0
29.1	24.4
30.0	85.1
30.6	18.4
31.9	100.0
41.9	47.4
46.7	39.5
50.6	17.2
55.2	18.7
59.9	23.0

Atomic structure:
```
Bi4Ir
1.0
0.0000 6.9347 3.6074
5.8429 0.0000 3.6074
5.8429 6.9347 0.0000
Bi Ir
8 2
Direct
0.1724 0.2812 0.9861
0.2236 0.7764 0.4116
0.2639 0.6897 0.0776
0.2812 0.1724 0.5603
0.6616 0.8384 0.4736
0.6897 0.2639 0.9688
0.7764 0.2236 0.5884
0.8384 0.6616 0.0264
0.4994 0.4994 0.5006
0.7494 0.7494 0.7506
```

---

Calculated X-ray diffraction stick pattern of CrBPAuI for Cu Kα, 1.54184 Å, from a crystal structure in Alexandria, relaxed with PBE.
Peak positions follow from Bragg's law for the DFT cell and can differ from measured ones.

Main lines, by angle (10° ≤ 2θ ≤ 90°):
Position (°2θ)	I/Imax
10.7	52.3
24.5	100.0
26.8	29.4
27.3	85.7
29.4	23.0
32.5	66.6
37.0	97.4
41.2	59.3
43.0	48.4
50.1	83.9

Atomic structure:
```
CrBPAuI
1.0
3.6280 0.0000 0.0000
0.0000 3.2674 0.0000
-0.0121 0.0000 8.2586
Cr B P Au I
1 1 1 1 1
Direct
0.0000 0.0000 0.0000
0.5012 0.0000 0.1716
0.5002 0.5000 0.0360
0.0019 0.0000 0.3288
0.0015 0.0000 0.6681
```

---

Calculated X-ray diffraction stick pattern of TbHoIn6 for Cu Kα, 1.54184 Å, from a crystal structure in Alexandria, relaxed with PBE.
Peak positions follow from Bragg's law for the DFT cell and can differ from measured ones.

Main lines, by angle (10° ≤ 2θ ≤ 90°):
Position (°2θ)	I/Imax
19.1	2.0
27.2	1.8
33.5	100.0
38.8	49.8
43.7	1.1
48.1	0.8
56.1	33.4
66.9	38.8
70.3	11.2
83.4	5.3

Atomic structure:
```
TbHoIn6
1.0
4.6373 0.0000 0.0000
0.0000 4.6373 0.0000
0.0000 0.0000 9.2713
Tb Ho In
1 1 6
Direct
0.0000 0.0000 0.0000
0.0000 0.0000 0.5000
0.0000 0.5000 0.2512
0.0000 0.5000 0.7488
0.5000 0.0000 0.2512
0.5000 0.0000 0.7488
0.5000 0.5000 0.0000
0.5000 0.5000 0.5000
```

---

Repeat the fifth record exactly.
Calculated X-ray diffraction stick pattern of Ba5Na2SrIr for Cu Kα, 1.54184 Å, from a crystal structure in Alexandria, relaxed with PBE.
Peak positions follow from Bragg's law for the DFT cell and can differ from measured ones.

Main lines, by angle (10° ≤ 2θ ≤ 90°):
Position (°2θ)	I/Imax
12.4	67.8
14.2	63.9
14.4	47.5
24.8	100.0
28.6	91.4
29.1	44.0
32.1	45.1
40.9	34.2
41.2	67.1
51.0	35.7

Atomic structure:
```
Ba5Na2SrIr
1.0
-4.4109 4.4109 6.1459
4.4109 -4.4109 6.1459
4.4109 4.4109 -6.1459
Ba Na Sr Ir
5 2 1 1
Direct
0.0000 0.0000 0.0000
0.5110 0.5110 0.5148
0.5110 0.9963 0.0000
0.9963 0.5110 0.0000
0.9963 0.9963 0.4852
0.0045 0.5045 0.5000
0.5045 0.0045 0.5000
0.5135 0.5135 0.0000
0.7558 0.7558 0.0000
```